Starting from a DFT-relaxed cell (GGA-PBE, Alexandria), the XRD peak list of KU2P3O12 was computed for Cu Kα X-rays.

Top 10 peaks for 2θ = 15–90°, by angle:
18.0°, rel. 633
19.2°, rel. 1000
26.4°, rel. 347
28.8°, rel. 777
32.9°, rel. 246
33.6°, rel. 345
40.1°, rel. 202
44.8°, rel. 259
47.0°, rel. 240
52.4°, rel. 225

Crystal structure
a b c (Å): 9.2398 9.2398 25.1138
angles (deg): 90.00 90.00 120.00
Space group R-3c (No. 167, hexagonal axes)
Unique sites:
K: 0.0000 0.0000 0.0000
U: 0.0000 0.0000 0.1497
P: 0.0000 0.2926 0.2500
O: 0.0220 0.1995 0.9078
O: 0.0305 0.2127 0.2001

=====

Starting from a DFT-relaxed cell (GGA-PBE, Alexandria), the XRD peak list of KU2P3O12 was computed for Cu Kα X-rays.

Top 10 peaks for 2θ = 15–90°, by angle:
17.2°, rel. 410
18.6°, rel. 439
20.2°, rel. 683
26.6°, rel. 392
27.1°, rel. 676
27.7°, rel. 360
29.5°, rel. 1000
31.1°, rel. 555
32.7°, rel. 476
49.2°, rel. 389

Crystal structure
a b c (Å): 17.674 6.825 8.123
angles (deg): 90.00 102.10 90.00
Space group Cc (No. 9)
Unique sites:
K: 0.000 0.099 0.000
U: 0.165 0.404 0.839
U: 0.357 0.096 0.763
P: 0.011 0.405 0.550
P: 0.203 0.092 0.484
P: 0.319 0.408 0.119
O: 0.040 0.278 0.709
O: 0.082 0.464 0.041
O: 0.153 0.094 0.952
O: 0.167 0.263 0.373
O: 0.216 0.153 0.675
O: 0.234 0.450 0.132
O: 0.289 0.050 0.471
O: 0.307 0.347 0.929
O: 0.357 0.239 0.233
O: 0.370 0.406 0.652
O: 0.439 0.033 0.561
O: 0.482 0.218 0.889